This entry pairs a crystal structure of SrZn2F8 with its simulated XRD peak list. Radiation: Cu Ka. Structure: a DFT-relaxed cell (PBE, Alexandria).
Lines closer than 0.1° are merged.

Crystal structure
```
SrZn2F8
1.0
-2.7246 2.7246 5.7281
2.7246 -2.7246 5.7281
2.7246 2.7246 -5.7281
Sr Zn F
1 2 8
direct
0.0000 0.0000 0.0000
0.2500 0.7500 0.5000
0.7500 0.2500 0.5000
0.0331 0.5437 0.8524
0.1807 0.0331 0.4894
0.3087 0.4563 0.4894
0.4563 0.9669 0.1476
0.5437 0.6913 0.5106
0.6913 0.1807 0.1476
0.8193 0.3087 0.8524
0.9669 0.8193 0.5106
```

Main lines, in order of rising 2θ (2θ from 15° to 90°):
2theta, I_rel
18.03, 43
27.91, 100
37.74, 23
45.97, 44
47.17, 17
55.70, 24

This entry pairs a crystal structure of SrZn4F8 with its simulated XRD peak list. Radiation: Cu Ka. Structure: a DFT-relaxed cell (PBE, Alexandria).
Lines closer than 0.1° are merged.

Crystal structure
```
SrZn4F8
1.0
0.0000 4.7483 4.7483
4.7483 0.0000 4.7483
4.7483 4.7483 0.0000
Sr Zn F
1 4 8
direct
0.0000 0.0000 0.0000
0.3800 0.3800 0.3800
0.3800 0.3800 0.8600
0.3800 0.8600 0.3800
0.8600 0.3800 0.3800
0.1440 0.1440 0.1440
0.1440 0.1440 0.5680
0.1440 0.5680 0.1440
0.1821 0.6060 0.6060
0.5680 0.1440 0.1440
0.6060 0.1821 0.6060
0.6060 0.6060 0.1821
0.6060 0.6060 0.6060
```

Main lines, in order of rising 2θ (2θ from 15° to 90°):
2theta, I_rel
16.17, 60
18.69, 25
31.24, 100
37.90, 40
49.90, 53
54.67, 55

This entry pairs a crystal structure of Sr5Zr3F22 with its simulated XRD peak list. Radiation: Cu Ka. Structure: a DFT-relaxed cell (PBE, Alexandria).
Lines closer than 0.1° are merged.

Crystal structure
```
Sr5Zr3F22
1.0
7.7340 0.0000 0.0000
0.0000 10.4550 0.0000
0.0000 0.0000 10.4727
Sr Zr F
10 6 44
direct
0.0000 0.0000 0.0170
0.0000 0.0000 0.4616
0.0000 0.5000 0.9384
0.2355 0.7064 0.2547
0.2645 0.2064 0.7453
0.5000 0.0000 0.0616
0.5000 0.5000 0.5384
0.5000 0.5000 0.9830
0.7355 0.7936 0.7453
0.7645 0.2936 0.2547
0.0000 0.5000 0.5384
0.2472 0.7885 0.7723
0.2528 0.2885 0.2277
0.5000 0.0000 0.4616
0.7472 0.7115 0.2277
0.7528 0.2115 0.7723
0.0113 0.7990 0.8734
0.0273 0.3425 0.1255
0.0636 0.1587 0.2956
0.0678 0.8489 0.6346
0.0880 0.3892 0.3714
0.0901 0.6112 0.7051
0.2129 0.3918 0.6009
0.2141 0.6063 0.4721
0.2174 0.9839 0.8305
0.2360 0.8867 0.1129
0.2400 0.1523 0.0781
0.2600 0.6523 0.9219
0.2640 0.3867 0.8871
0.2826 0.4839 0.1695
0.2859 0.1063 0.5279
0.2871 0.8918 0.3991
0.4099 0.1112 0.2949
0.4120 0.8892 0.6286
0.4322 0.3489 0.3654
0.4364 0.6587 0.7044
0.4727 0.8425 0.8745
0.4887 0.2990 0.1266
0.5113 0.7010 0.1266
0.5273 0.1575 0.8745
0.5636 0.3413 0.7044
0.5678 0.6511 0.3654
0.5880 0.1108 0.6286
0.5901 0.8888 0.2949
0.7129 0.1082 0.3991
0.7141 0.8937 0.5279
0.7174 0.5161 0.1695
0.7360 0.6133 0.8871
0.7400 0.3477 0.9219
0.7600 0.8477 0.0781
0.7640 0.1133 0.1129
0.7826 0.0161 0.8305
0.7859 0.3937 0.4721
0.7871 0.6082 0.6009
0.9099 0.3888 0.7051
0.9120 0.6108 0.3714
0.9322 0.1511 0.6346
0.9364 0.8413 0.2956
0.9727 0.6575 0.1255
0.9887 0.2010 0.8734
```

Main lines, in order of rising 2θ (2θ from 15° to 90°):
2theta, I_rel
24.06, 93
26.95, 32
28.71, 100
43.52, 37
45.30, 57
50.34, 25

This entry pairs a crystal structure of SrZr2F11 with its simulated XRD peak list. Radiation: Cu Ka. Structure: a DFT-relaxed cell (PBE, Alexandria).
Lines closer than 0.1° are merged.

Crystal structure
```
SrZr2F11
1.0
-3.9990 5.1987 5.7077
3.9990 -5.1987 5.7077
3.9990 5.1987 -5.7077
Sr Zr F
2 4 22
direct
0.2500 0.2500 0.0000
0.7500 0.7500 0.0000
0.1793 0.6332 0.8125
0.3207 0.1332 0.4539
0.6793 0.8668 0.5461
0.8207 0.3668 0.1875
0.0000 0.5000 0.5000
0.0468 0.3682 0.1614
0.0559 0.9754 0.2934
0.1820 0.4754 0.9195
0.2067 0.8854 0.8386
0.2193 0.3727 0.5920
0.2807 0.8727 0.1533
0.2933 0.1318 0.6786
0.3180 0.2375 0.2934
0.4441 0.7375 0.9195
0.4532 0.6146 0.3214
0.5000 0.0000 0.5000
0.5468 0.3854 0.6786
0.5559 0.2625 0.0805
0.6820 0.7625 0.7066
0.7067 0.8682 0.3214
0.7193 0.1273 0.8467
0.7807 0.6273 0.4080
0.7933 0.1146 0.1614
0.8180 0.5246 0.0805
0.9441 0.0246 0.7066
0.9532 0.6318 0.8386
```

Main lines, in order of rising 2θ (2θ from 15° to 90°):
2theta, I_rel
15.52, 42
20.94, 100
21.83, 46
23.14, 66
25.10, 68
42.58, 51